Entry 1:
# ZnAg2Au6
Theoretical X-ray diffraction stick pattern, Cu Kα, 1.54184 Å. Input: the GGA-PBE geometry in Alexandria.

Crystal structure
```
data_ZnAg2Au6
_chemical_formula_sum 'Zn2 Ag4 Au12'
_symmetry_space_group_name_H-M 'P 42/m n m'
_symmetry_Int_Tables_number 136
_symmetry_space_group_name_Hall '-P 4n 2n'
_cell_length_a 8.6271
_cell_length_b 8.6271
_cell_length_c 4.2597
_cell_angle_alpha 90.00
_cell_angle_beta 90.00
_cell_angle_gamma 90.00
loop_
_atom_site_label
_atom_site_type_symbol
_atom_site_fract_x
_atom_site_fract_y
_atom_site_fract_z
Zn1 Zn 0.0000 0.0000 0.0000
Ag1 Ag 0.1745 0.1745 0.5000
Au1 Au 0.0076 0.3287 0.0000
Au2 Au 0.1535 0.8465 0.5000
```

Top 10 peaks for 15° ≤ 2θ ≤ 90°, low angle first:
| index | 2θ/deg | I_rel |
| --- | --- | --- |
| 2 2 0 | 29.28 | 3 |
| 2 1 1 | 31.28 | 6 |
| 3 0 1 | 37.74 | 100 |
| 0 0 2 | 42.44 | 19 |
| 3 3 0 | 44.56 | 31 |
| 3 3 2 | 63.22 | 22 |
| 6 0 0 | 64.85 | 9 |
| 3 0 3 | 74.53 | 14 |
| 6 3 1 | 77.54 | 22 |
| 6 0 2 | 80.62 | 10 |

Entry 2:
# ZrAg2Au
Theoretical X-ray diffraction stick pattern, Cu Kα, 1.54184 Å. Input: the GGA-PBE geometry in Alexandria.

Crystal structure
```
data_ZrAg2Au
_chemical_formula_sum 'Zr2 Ag4 Au2'
_symmetry_space_group_name_H-M 'C 1 m 1'
_symmetry_Int_Tables_number 8
_cell_length_a 9.8474
_cell_length_b 3.0182
_cell_length_c 5.1702
_cell_angle_alpha 90.00
_cell_angle_beta 99.73
_cell_angle_gamma 90.00
loop_
_symmetry_equiv_pos_as_xyz
'x,y,z'
'x,-y,z'
'x+1/2,y+1/2,z'
'x+1/2,-y+1/2,z'
loop_
_atom_site_label
_atom_site_type_symbol
_atom_site_fract_x
_atom_site_fract_y
_atom_site_fract_z
Zr1 Zr 0.0000 0.0000 0.0000
Ag1 Ag 0.2440 0.0000 0.7184
Ag2 Ag 0.4945 0.0000 0.4960
Au1 Au 0.2475 0.5000 0.2222
```

Top 10 peaks for 15° ≤ 2θ ≤ 90°, low angle first:
| index | 2θ/deg | I_rel |
| --- | --- | --- |
| 1 1 1 | 36.58 | 100 |
| 4 0 0 | 37.01 | 96 |
| 3 1 -1 | 42.75 | 96 |
| 0 2 0 | 61.44 | 11 |
| 1 1 -3 | 62.01 | 20 |
| 5 1 1 | 62.12 | 21 |
| 4 2 0 | 73.94 | 25 |
| 3 1 3 | 74.28 | 11 |
| 6 0 2 | 74.67 | 17 |
| 7 1 -1 | 74.79 | 12 |

Entry 3:
# ZrAg4Au
Theoretical X-ray diffraction stick pattern, Cu Kα, 1.54184 Å. Input: the GGA-PBE geometry in Alexandria.

Crystal structure
```
data_ZrAg4Au
_chemical_formula_sum 'Zr4 Ag16 Au4'
_symmetry_space_group_name_H-M 'F -4 3 m'
_symmetry_Int_Tables_number 216
_symmetry_space_group_name_Hall 'F -4 2 3'
_cell_length_a 7.6700
_cell_length_b 7.6700
_cell_length_c 7.6700
_cell_angle_alpha 90.00
_cell_angle_beta 90.00
_cell_angle_gamma 90.00
loop_
_atom_site_label
_atom_site_type_symbol
_atom_site_fract_x
_atom_site_fract_y
_atom_site_fract_z
Zr1 Zr 0.0000 0.0000 0.0000
Ag1 Ag 0.1249 0.1249 0.6249
Au1 Au 0.2500 0.2500 0.2500
```

Top 10 peaks for 15° ≤ 2θ ≤ 90°, low angle first:
| index | 2θ/deg | I_rel |
| --- | --- | --- |
| 1 1 1 | 20.05 | 5 |
| 2 2 0 | 33.03 | 35 |
| 3 1 1 | 38.95 | 100 |
| 2 2 2 | 40.75 | 33 |
| 4 2 2 | 59.00 | 13 |
| 3 3 3 | 62.97 | 31 |
| 4 4 0 | 69.30 | 25 |
| 6 2 0 | 78.94 | 6 |
| 5 3 3 | 82.46 | 11 |
| 6 2 2 | 83.63 | 11 |

Entry 4:
# ZrAgAu6
Theoretical X-ray diffraction stick pattern, Cu Kα, 1.54184 Å. Input: the GGA-PBE geometry in Alexandria.

Crystal structure
```
data_ZrAgAu6
_chemical_formula_sum 'Zr2 Ag2 Au12'
_symmetry_space_group_name_H-M 'C 1 2/m 1'
_symmetry_Int_Tables_number 12
_cell_length_a 9.3236
_cell_length_b 4.1688
_cell_length_c 8.5505
_cell_angle_alpha 90.00
_cell_angle_beta 117.80
_cell_angle_gamma 90.00
loop_
_symmetry_equiv_pos_as_xyz
'x,y,z'
'-x,-y,-z'
'-x,y,-z'
'x,-y,z'
'x+1/2,y+1/2,z'
'-x+1/2,-y+1/2,-z'
'-x+1/2,y+1/2,-z'
'x+1/2,-y+1/2,z'
loop_
_atom_site_label
_atom_site_type_symbol
_atom_site_fract_x
_atom_site_fract_y
_atom_site_fract_z
Zr1 Zr 0.0000 0.0000 0.0000
Ag1 Ag 0.0000 0.0000 0.5000
Au1 Au 0.0031 0.5000 0.2485
Au2 Au 0.2499 0.0000 0.3745
Au3 Au 0.2496 0.0000 0.8755
```

Top 10 peaks for 15° ≤ 2θ ≤ 90°, low angle first:
| index | 2θ/deg | I_rel |
| --- | --- | --- |
| 3 1 -2 | 37.07 | 100 |
| 1 1 2 | 37.30 | 99 |
| 2 0 -4 | 42.28 | 35 |
| 0 2 0 | 43.41 | 32 |
| 4 0 0 | 43.91 | 31 |
| 2 2 -4 | 62.23 | 33 |
| 4 2 0 | 63.46 | 21 |
| 5 1 -6 | 73.74 | 14 |
| 1 1 -6 | 74.17 | 13 |
| 3 3 -2 | 75.48 | 13 |

Entry 5:
# ZrAgAu4
Theoretical X-ray diffraction stick pattern, Cu Kα, 1.54184 Å. Input: the GGA-PBE geometry in Alexandria.

Crystal structure
```
data_ZrAgAu4
_chemical_formula_sum 'Zr4 Ag4 Au16'
_symmetry_space_group_name_H-M 'F -4 3 m'
_symmetry_Int_Tables_number 216
_symmetry_space_group_name_Hall 'F -4 2 3'
_cell_length_a 7.7358
_cell_length_b 7.7358
_cell_length_c 7.7358
_cell_angle_alpha 90.00
_cell_angle_beta 90.00
_cell_angle_gamma 90.00
loop_
_atom_site_label
_atom_site_type_symbol
_atom_site_fract_x
_atom_site_fract_y
_atom_site_fract_z
Zr1 Zr 0.0000 0.0000 0.0000
Ag1 Ag 0.2500 0.2500 0.7500
Au1 Au 0.1248 0.1248 0.3752
```

Top 10 peaks for 15° ≤ 2θ ≤ 90°, low angle first:
| index | 2θ/deg | I_rel |
| --- | --- | --- |
| 1 1 1 | 19.88 | 36 |
| 2 2 0 | 32.74 | 11 |
| 3 1 1 | 38.60 | 100 |
| 2 2 2 | 40.39 | 63 |
| 4 0 0 | 46.98 | 17 |
| 3 3 1 | 51.49 | 10 |
| 5 1 1 | 62.37 | 33 |
| 4 4 0 | 68.63 | 31 |
| 5 3 3 | 81.61 | 12 |
| 6 2 2 | 82.76 | 25 |

Entry 6:
# BaAg2BSe4
Theoretical X-ray diffraction stick pattern, Cu Kα, 1.54184 Å. Input: the GGA-PBE geometry in Alexandria.

Crystal structure
```
data_BaAg2BSe4
_chemical_formula_sum 'Ba2 Ag4 B2 Se8'
_symmetry_space_group_name_H-M 'I 2 2 2'
_symmetry_Int_Tables_number 23
_cell_length_a 6.9099
_cell_length_b 6.9117
_cell_length_c 8.1145
_cell_angle_alpha 90.00
_cell_angle_beta 90.00
_cell_angle_gamma 90.00
loop_
_symmetry_equiv_pos_as_xyz
'x,y,z'
'-x,-y,z'
'x,-y,-z'
'-x,y,-z'
'x+1/2,y+1/2,z+1/2'
'-x+1/2,-y+1/2,z+1/2'
'x+1/2,-y+1/2,-z+1/2'
'-x+1/2,y+1/2,-z+1/2'
loop_
_atom_site_label
_atom_site_type_symbol
_atom_site_fract_x
_atom_site_fract_y
_atom_site_fract_z
Ba1 Ba 0.0000 0.0000 0.0000
Ag1 Ag 0.0000 0.5000 0.2467
B1 B 0.0000 0.0000 0.5000
Se1 Se 0.1773 0.1777 0.3602
```

Top 10 peaks for 15° ≤ 2θ ≤ 90°, low angle first:
| index | 2θ/deg | I_rel |
| --- | --- | --- |
| 1 1 2 | 28.60 | 100 |
| 1 2 1 | 30.96 | 53 |
| 0 1 3 | 35.65 | 18 |
| 2 2 0 | 36.78 | 31 |
| 3 0 1 | 40.72 | 21 |
| 1 3 2 | 47.24 | 40 |
| 0 2 4 | 52.29 | 28 |
| 1 4 1 | 56.02 | 10 |
| 2 3 3 | 59.07 | 11 |
| 4 2 0 | 59.85 | 11 |

Entry 7:
# Ag2B2Br7
Theoretical X-ray diffraction stick pattern, Cu Kα, 1.54184 Å. Input: the GGA-PBE geometry in Alexandria.

Crystal structure
```
data_Ag2B2Br7
_chemical_formula_sum 'Ag8 B8 Br28'
_symmetry_space_group_name_H-M 'C 1 2/c 1'
_symmetry_Int_Tables_number 15
_cell_length_a 10.1069
_cell_length_b 10.4662
_cell_length_c 14.8880
_cell_angle_alpha 90.00
_cell_angle_beta 90.93
_cell_angle_gamma 90.00
loop_
_symmetry_equiv_pos_as_xyz
'x,y,z'
'-x,-y,-z'
'-x,y,-z+1/2'
'x,-y,z+1/2'
'x+1/2,y+1/2,z'
'-x+1/2,-y+1/2,-z'
'-x+1/2,y+1/2,-z+1/2'
'x+1/2,-y+1/2,z+1/2'
loop_
_atom_site_label
_atom_site_type_symbol
_atom_site_fract_x
_atom_site_fract_y
_atom_site_fract_z
Ag1 Ag 0.2129 0.2169 0.4143
B1 B 0.1388 0.3402 0.1714
Br1 Br 0.0000 0.4496 0.2500
Br2 Br 0.0578 0.1763 0.1295
Br3 Br 0.1789 0.4578 0.0692
Br4 Br 0.2000 0.1894 0.7502
```

Top 10 peaks for 15° ≤ 2θ ≤ 90°, low angle first:
| index | 2θ/deg | I_rel |
| --- | --- | --- |
| 0 2 0 | 16.94 | 97 |
| 1 1 -3 | 21.56 | 66 |
| 0 2 3 | 24.73 | 71 |
| 1 1 -4 | 26.78 | 75 |
| 1 3 0 | 27.04 | 86 |
| 1 3 1 | 27.72 | 100 |
| 3 1 1 | 28.57 | 77 |
| 3 1 -2 | 30.18 | 67 |
| 3 1 3 | 33.51 | 77 |
| 0 4 3 | 38.92 | 84 |

Entry 8:
# Ag3BBr6
Theoretical X-ray diffraction stick pattern, Cu Kα, 1.54184 Å. Input: the GGA-PBE geometry in Alexandria.

Crystal structure
```
data_Ag3BBr6
_chemical_formula_sum 'Ag12 B4 Br24'
_symmetry_space_group_name_H-M 'C m c 21'
_symmetry_Int_Tables_number 36
_cell_length_a 10.5841
_cell_length_b 15.9055
_cell_length_c 7.5044
_cell_angle_alpha 90.00
_cell_angle_beta 90.00
_cell_angle_gamma 90.00
loop_
_symmetry_equiv_pos_as_xyz
'x,y,z'
'-x,-y,z+1/2'
'-x,y,z'
'x,-y,z+1/2'
'x+1/2,y+1/2,z'
'-x+1/2,-y+1/2,z+1/2'
'-x+1/2,y+1/2,z'
'x+1/2,-y+1/2,z+1/2'
loop_
_atom_site_label
_atom_site_type_symbol
_atom_site_fract_x
_atom_site_fract_y
_atom_site_fract_z
Ag1 Ag 0.0000 0.0106 0.0000
Ag2 Ag 0.2285 0.1129 0.5776
B1 B 0.0000 0.2824 0.8029
Br1 Br 0.0000 0.3313 0.5618
Br2 Br 0.0000 0.3726 0.0027
Br3 Br 0.1591 0.2114 0.8514
Br4 Br 0.1857 0.0424 0.2602
```

Top 10 peaks for 15° ≤ 2θ ≤ 90°, low angle first:
| index | 2θ/deg | I_rel |
| --- | --- | --- |
| 1 1 1 | 15.51 | 46 |
| 0 2 1 | 16.24 | 52 |
| 1 3 0 | 18.72 | 71 |
| 2 2 1 | 23.41 | 61 |
| 0 4 1 | 25.35 | 44 |
| 3 3 0 | 30.41 | 74 |
| 0 4 2 | 32.78 | 100 |
| 0 6 1 | 35.93 | 45 |
| 3 3 2 | 38.94 | 44 |
| 4 0 2 | 41.77 | 45 |